# 1
For Ba3SrCa2, DFT lattice parameters and positions (PBE) gives the theoretical powder X-ray diffraction pattern in this record (CuKα).
Kinematic intensities with the Lorentz-polarization factor, no thermal factor.

Structure:
Cell lengths 10.3633, 11.7883, 10.6645 Å; angles 90.00, 99.30, 90.00 degrees
Space group C2/c (No. 15)
Inequivalent atoms, fractional coordinates:
1 Ba 0.0000 0.0767 0.2500 (multiplicity 4)
2 Ba 0.2482 0.4165 0.9948 (multiplicity 8)
3 Sr 0.0000 0.4095 0.2500 (multiplicity 4)
4 Ca 0.1262 0.2526 0.6245 (multiplicity 8)

The 10 most intense peaks (2θ = 10–80°), sorted by position:
- 2θ 15.03, d = 5.894 Å, I 26, (0 2 0)
- 2θ 22.20, d = 4.005 Å, I 24, (2 0 -2)
- 2θ 26.19, d = 3.403 Å, I 100, (2 0 2)
- 2θ 26.59, d = 3.352 Å, I 21, (1 1 -3)
- 2θ 26.91, d = 3.313 Å, I 21, (2 2 -2)
- 2θ 27.23, d = 3.275 Å, I 20, (3 1 -1)
- 2θ 34.33, d = 2.612 Å, I 16, (1 3 -3)
- 2θ 34.84, d = 2.575 Å, I 16, (3 3 -1)
- 2θ 46.22, d = 1.964 Å, I 25, (3 3 3)
- 2θ 53.89, d = 1.701 Å, I 13, (4 0 4)



# 2
For BaSr6Ca3, DFT lattice parameters and positions (PBE) gives the theoretical powder X-ray diffraction pattern in this record (CuKα).
Kinematic intensities with the Lorentz-polarization factor, no thermal factor.

Structure:
Cell lengths 8.3882, 9.2809, 14.4546 Å; angles 97.35, 106.35, 102.87 degrees
Space group P-1 (No. 2)
Inequivalent atoms, fractional coordinates:
1 Ba 0.0000 0.0000 0.0000 (multiplicity 1)
2 Ba 0.0000 0.0000 0.5000 (multiplicity 1)
3 Sr 0.1010 0.5931 0.3962 (multiplicity 2)
4 Sr 0.2007 0.2028 0.8023 (multiplicity 2)
5 Sr 0.3001 0.8015 0.1997 (multiplicity 2)
6 Sr 0.3029 0.8005 0.7046 (multiplicity 2)
7 Sr 0.3985 0.3990 0.1002 (multiplicity 2)
8 Sr 0.4026 0.3994 0.5985 (multiplicity 2)
9 Ca 0.0998 0.6001 0.9021 (multiplicity 2)
10 Ca 0.2028 0.2017 0.2998 (multiplicity 2)
11 Ca 0.5000 0.0000 0.0000 (multiplicity 1)
12 Ca 0.5000 0.0000 0.5000 (multiplicity 1)

The 10 most intense peaks (2θ = 10–80°), sorted by position:
- 2θ 26.13, d = 3.410 Å, I 100, (2 1 -2)
- 2θ 30.01, d = 2.978 Å, I 17, (2 0 2)
- 2θ 30.33, d = 2.947 Å, I 17, (-2 1 4)
- 2θ 30.45, d = 2.935 Å, I 17, (0 3 -2)
- 2θ 43.19, d = 2.095 Å, I 13, (-4 1 2)
- 2θ 43.28, d = 2.091 Å, I 13, (2 3 0)
- 2θ 43.51, d = 2.080 Å, I 12, (2 2 -6)
- 2θ 50.97, d = 1.792 Å, I 15, (4 1 0)
- 2θ 51.40, d = 1.778 Å, I 11, (-4 3 4)
- 2θ 51.55, d = 1.773 Å, I 15, (2 4 -4)